The following is a theoretical X-ray powder pattern of Pa2H2O7. It was derived from a structure optimized by DFT (GGA-PBE), using Cu Kα (λ = 1.5418 Å).
Lines closer than 0.1° are merged.

Most intense lines, 10 to 80 degrees two-theta, in order of falling intensity:
Position (°2θ)	I/Imax	index
20.97	100	0 1 -1
21.61	77	1 0 0
27.11	70	-1 1 1
26.96	50	0 1 1
30.10	47	1 1 -1
31.62	38	1 0 1

Crystal structure
a b c (Å): 4.4785 5.4672 5.6594
angles (deg): 99.30 105.71 103.98
Element x y z (fractional)
Pa (0.1055, 0.2496, 0.3129)
Pa (0.8945, 0.7504, 0.6871)
H (0.4982, 0.8590, 0.2298)
H (0.5018, 0.1410, 0.7702)
O (0.0000, 0.5000, 0.0000)
O (0.1842, 0.8666, 0.0897)
O (0.2639, 0.1138, 0.6605)
O (0.3215, 0.6255, 0.5982)
O (0.6785, 0.3745, 0.4018)
O (0.7361, 0.8862, 0.3395)
O (0.8158, 0.1334, 0.9103)